Structure and theoretical PXRD pattern of PmErLu2 (the GGA-PBE geometry in Alexandria; Cu Kα, 1.54184 Å).
Lines closer than 0.1° are merged.

Cell and atoms:
```
PmErLu2
1.0
4.022 0.000 0.000
0.000 4.022 0.000
0.000 0.000 7.724
Pm Er Lu
1 1 2
Direct
0.000 0.000 0.000 Pm
0.000 0.000 0.500 Er
0.500 0.500 0.259 Lu
0.500 0.500 0.741 Lu
```

Main lines, in order of rising 2θ (10 to 80 degrees two-theta):
2θ 11.46, I = 0.8, hkl 0 0 1; 2θ 31.45, I = 53.2, hkl 1 1 0; 2θ 32.13, I = 100.0, hkl 1 0 2; 2θ 45.08, I = 19.9, hkl 2 0 0; 2θ 47.06, I = 8.6, hkl 0 0 4; 2θ 56.43, I = 40.8, hkl 2 1 2; 2θ 57.70, I = 18.7, hkl 1 1 4; 2θ 65.65, I = 6.5, hkl 2 2 0; 2θ 67.21, I = 11.9, hkl 2 0 4; 2θ 74.61, I = 9.0, hkl 3 1 0; 2θ 74.98, I = 8.8, hkl 3 0 2; 2θ 77.92, I = 7.8, hkl 1 0 6